This entry pairs a crystal structure of InIrI6 with its simulated powder XRD pattern. Radiation: Cu Kα (weighted mean of Kα1 and Kα2). Structure: a crystal structure in OQMD, relaxed with GGA-PBE.

Crystal structure
Lattice parameters (Å, degrees): 7.2709 12.5853 7.4102 90.00 108.26 90.00
Space group C2 (No. 5)
Unique sites:
In 0.0000 0.0000 0.0000 [2 per cell]
Ir 0.0000 0.6670 0.0000 [2 per cell]
I 0.2149 0.8189 0.2263 [4 per cell]
I 0.2269 0.5182 0.2246 [4 per cell]
I 0.2298 0.6635 0.7771 [4 per cell]

Main lines, in order of rising 2θ (5 to 70 degrees two-theta):
- 7.037 Å, I = 67.3, hkl 0 0 1
- 6.054 Å, I = 31.8, hkl 1 1 0
- 3.428 Å, I = 23.9, hkl 1 3 -1
- 3.003 Å, I = 100.0, hkl 1 3 1
- 2.974 Å, I = 49.3, hkl 2 0 -2
- 2.328 Å, I = 20.8, hkl 1 3 2
- 2.128 Å, I = 34.6, hkl 1 3 -3
- 2.098 Å, I = 49.0, hkl 0 6 0